Record 1
For Li11Mn11O26, the GGA+U geometry in the Materials Project gives the simulated powder XRD pattern in this record (Cu Kα, 1.54184 Å).
Lines closer than 0.1° are merged.

a b c (Å): 5.1558 5.1558 32.6221
angles (deg): 90.77 90.77 32.09
Element x y z (fractional)
Li  0.0000  0.0000  0.0000
Li  0.0456  0.0456  0.5723
Li  0.1275  0.1275  0.7229
Li  0.2120  0.2120  0.8765
Li  0.3930  0.3930  0.0857
Li  0.5103  0.5103  0.4944
Li  0.5859  0.5859  0.6482
Li  0.6694  0.6694  0.7980
Li  0.6895  0.6895  0.0701
Li  0.7526  0.7526  0.9673
Li  0.9721  0.9721  0.4118
Mn  0.1131  0.1131  0.1517
Mn  0.1655  0.1655  0.3086
Mn  0.2426  0.2426  0.4620
Mn  0.3150  0.3150  0.6104
Mn  0.3974  0.3974  0.7581
Mn  0.4796  0.4796  0.9134
Mn  0.6275  0.6275  0.2314
Mn  0.7108  0.7108  0.3849
Mn  0.7762  0.7762  0.5359
Mn  0.8569  0.8569  0.6852
Mn  0.9406  0.9406  0.8330
O  0.0211  0.0211  0.7773
O  0.0256  0.0256  0.2109
O  0.0964  0.0964  0.3668
O  0.0962  0.0962  0.9251
O  0.1537  0.1537  0.5161
O  0.2173  0.2173  0.1105
O  0.2338  0.2338  0.6654
O  0.2372  0.2372  0.2566
O  0.3186  0.3186  0.8129
O  0.3258  0.3258  0.4085
O  0.3910  0.3910  0.9583
O  0.3982  0.3982  0.5562
O  0.4811  0.4811  0.7036
O  0.5083  0.5083  0.1348
O  0.5569  0.5569  0.2898
O  0.5615  0.5615  0.8503
O  0.6242  0.6242  0.4408
O  0.6446  0.6446  0.0146
O  0.6921  0.6921  0.5911
O  0.7116  0.7116  0.1814
O  0.7733  0.7733  0.7395
O  0.7780  0.7780  0.3322
O  0.8630  0.8630  0.4823
O  0.8630  0.8630  0.8853
O  0.8698  0.8698  0.0443
O  0.9375  0.9375  0.6300

Most intense lines, 2θ = 5–70°, in order of rising 2θ:
- 16.309 Å, 2θ 5.42, intensity 26
- 10.873 Å, 2θ 8.13, intensity 8
- 4.908 Å, 2θ 18.08, intensity 100
- 2.442 Å, 2θ 36.80, intensity 24
- 2.120 Å, 2θ 42.65, intensity 18
- 2.043 Å, 2θ 44.34, intensity 39
- 2.000 Å, 2θ 45.33, intensity 9
- 1.491 Å, 2θ 62.28, intensity 10

---

Record 2
For Li5Fe3Sb2O10, the GGA+U geometry in the Materials Project gives the simulated powder XRD pattern in this record (Cu Kα, 1.54184 Å).
Lines closer than 0.1° are merged.

a b c (Å): 5.3847 8.2515 10.6336
angles (deg): 108.69 99.82 102.49
Element x y z (fractional)
Li  0.0000  0.0000  0.0000
Li  0.0035  0.0002  0.4979
Li  0.1566  0.3918  0.7022
Li  0.1779  0.3923  0.2078
Li  0.6277  0.2065  0.5916
Li  0.6347  0.2115  0.1063
Li  0.8056  0.6027  0.7972
Li  0.8177  0.5991  0.3036
Li  0.8998  0.2968  0.9008
Li  0.9027  0.3002  0.4035
Fe  0.0980  0.6896  0.5966
Fe  0.0996  0.6868  0.0976
Fe  0.4003  0.7947  0.3985
Fe  0.4058  0.8027  0.9018
Fe  0.7065  0.9027  0.2013
Fe  0.7060  0.9102  0.7026
Sb  0.2963  0.0940  0.2946
Sb  0.2988  0.1007  0.7979
Sb  0.5026  0.5053  0.5077
Sb  0.5055  0.4978  0.0011
O  0.0726  0.8596  0.2966
O  0.0761  0.8804  0.8122
O  0.1462  0.5590  0.3930
O  0.1889  0.5489  0.9090
O  0.2317  0.2164  0.4758
O  0.2662  0.2594  0.9872
O  0.3398  0.9389  0.1072
O  0.3431  0.9570  0.6153
O  0.4638  0.6395  0.1855
O  0.4775  0.6803  0.7145
O  0.5265  0.3151  0.2882
O  0.5304  0.3413  0.8086
O  0.6163  0.0433  0.3890
O  0.6197  0.0602  0.8973
O  0.7339  0.7214  0.9934
O  0.7400  0.7496  0.4937
O  0.8299  0.4551  0.0909
O  0.8728  0.4642  0.6093
O  0.9668  0.1252  0.1926
O  0.9719  0.1417  0.7072

Most intense lines, 2θ = 5–70°, in order of rising 2θ:
- 5.078 Å, 2θ 17.47, intensity 51
- 5.017 Å, 2θ 17.68, intensity 100
- 4.081 Å, 2θ 21.78, intensity 31
- 2.653 Å, 2θ 33.78, intensity 47
- 2.536 Å, 2θ 35.40, intensity 31
- 2.206 Å, 2θ 40.91, intensity 45
- 2.187 Å, 2θ 41.28, intensity 93
- 1.556 Å, 2θ 59.38, intensity 28